Entry 1:
Diffraction record for Cd2PbO4. The powder X-ray diffraction pattern is simulated, not measured: it uses a crystal structure in the Materials Project, relaxed with GGA-PBE and copper Kα.
No peak broadening, texture or thermal motion is included.

Structure:
a = 5.7520 Å, b = 10.1775 Å, c = 3.3653 Å
α = 90.00°, β = 90.00°, γ = 90.00°
Atoms (fractional coordinates):
Cd  0.0601  0.1772  0.0000
Cd  0.4399  0.6772  0.0000
Cd  0.5601  0.3228  0.0000
Cd  0.9399  0.8228  0.0000
Pb  0.0000  0.5000  0.5000
Pb  0.5000  0.0000  0.5000
O  0.1465  0.6987  0.5000
O  0.2469  0.4615  0.0000
O  0.2531  0.9615  0.0000
O  0.3535  0.1987  0.5000
O  0.6465  0.8013  0.5000
O  0.7469  0.0385  0.0000
O  0.7531  0.5385  0.0000
O  0.8535  0.3013  0.5000

Most intense lines, 15 to 90 degrees two-theta, sorted by position:
two_theta	d/Å	I (rel.)	index
17.71	5.008	30	1 1 0
30.59	2.922	96	1 3 0
31.10	2.876	31	2 0 0
31.88	2.807	45	0 2 1
32.04	2.793	100	1 1 1
42.28	2.138	14	2 1 1
45.14	2.009	49	2 2 1
55.07	1.668	46	1 5 1
55.41	1.658	16	2 4 1
63.83	1.458	24	1 3 2



Entry 2:
Diffraction record for UCdPb2O6. The powder X-ray diffraction pattern is simulated, not measured: it uses a crystal structure in the Materials Project, relaxed with GGA-PBE and copper Kα.
No peak broadening, texture or thermal motion is included.

Structure:
a = 5.9610 Å, b = 6.1455 Å, c = 10.4002 Å
α = 90.00°, β = 124.37°, γ = 90.00°
Atoms (fractional coordinates):
U  0.0000  0.0000  0.0000
U  0.0000  0.5000  0.5000
Cd  0.5000  0.0000  0.5000
Cd  0.5000  0.5000  0.0000
Pb  0.2573  0.0413  0.7531
Pb  0.2573  0.4587  0.2531
Pb  0.7427  0.5413  0.7469
Pb  0.7427  0.9587  0.2469
O  0.1360  0.0300  0.2374
O  0.1360  0.4700  0.7374
O  0.2240  0.7146  0.0513
O  0.2240  0.7854  0.5513
O  0.3363  0.1778  0.0433
O  0.3363  0.3222  0.5433
O  0.6637  0.6778  0.4567
O  0.6637  0.8222  0.9567
O  0.7760  0.2146  0.4487
O  0.7760  0.2854  0.9487
O  0.8640  0.5300  0.2626
O  0.8640  0.9700  0.7626

Most intense lines, 15 to 90 degrees two-theta, sorted by position:
two_theta	d/Å	I (rel.)	index
29.06	3.073	48	0 2 0
29.36	3.042	100	1 1 1
29.59	3.019	99	1 1 -3
29.98	2.980	49	2 0 -2
42.10	2.146	25	0 0 4
42.24	2.139	42	2 2 -2
51.70	1.768	17	1 3 1
51.97	1.759	21	0 2 4
52.71	1.737	24	3 1 -1
53.13	1.724	22	3 1 -5



Entry 3:
Diffraction record for CdPd2O3. The powder X-ray diffraction pattern is simulated, not measured: it uses a crystal structure in the Materials Project, relaxed with GGA-PBE and copper Kα.
No peak broadening, texture or thermal motion is included.

Structure:
a = 4.6264 Å, b = 4.6264 Å, c = 4.2225 Å
α = 90.00°, β = 90.00°, γ = 90.00°
Atoms (fractional coordinates):
Cd  0.0000  0.0000  0.0000
Pd  0.0000  0.5000  0.5000
Pd  0.5000  0.0000  0.5000
O  0.0000  0.0000  0.5000
O  0.0000  0.5000  0.0000
O  0.5000  0.0000  0.0000

Most intense lines, 15 to 90 degrees two-theta, sorted by position:
two_theta	d/Å	I (rel.)	index
19.18	4.626	50	1 0 0
27.26	3.271	17	1 1 0
28.62	3.119	20	1 0 1
34.69	2.586	100	1 1 1
38.93	2.313	66	2 0 0
42.83	2.111	25	0 0 2
56.24	1.636	21	2 2 0
59.26	1.559	36	2 0 2
67.79	1.382	29	3 1 1
73.20	1.293	30	2 2 2



Entry 4:
Diffraction record for CdPt3O4. The powder X-ray diffraction pattern is simulated, not measured: it uses a crystal structure in the Materials Project, relaxed with GGA-PBE and copper Kα.
No peak broadening, texture or thermal motion is included.

Structure:
a = 5.8748 Å, b = 5.8748 Å, c = 5.8748 Å
α = 90.00°, β = 90.00°, γ = 90.00°
Atoms (fractional coordinates):
Cd  0.0000  0.0000  0.0000
Cd  0.5000  0.5000  0.5000
Pt  0.0000  0.2500  0.5000
Pt  0.0000  0.7500  0.5000
Pt  0.2500  0.5000  0.0000
Pt  0.5000  0.0000  0.2500
Pt  0.5000  0.0000  0.7500
Pt  0.7500  0.5000  0.0000
O  0.2500  0.2500  0.2500
O  0.2500  0.2500  0.7500
O  0.2500  0.7500  0.2500
O  0.2500  0.7500  0.7500
O  0.7500  0.2500  0.2500
O  0.7500  0.2500  0.7500
O  0.7500  0.7500  0.2500
O  0.7500  0.7500  0.7500

Most intense lines, 15 to 90 degrees two-theta, sorted by position:
two_theta	d/Å	I (rel.)	index
30.43	2.937	13	2 0 0
34.13	2.627	100	2 1 0
37.50	2.398	50	2 1 1
54.08	1.696	17	2 2 2
56.48	1.629	24	3 2 0
58.81	1.570	27	3 2 1
63.32	1.469	16	4 0 0
73.93	1.282	22	4 2 1
75.98	1.253	6	3 3 2
89.93	1.091	21	5 2 0



Entry 5:
Diffraction record for Rb6CdO4. The powder X-ray diffraction pattern is simulated, not measured: it uses a crystal structure in the Materials Project, relaxed with GGA-PBE and copper Kα.
No peak broadening, texture or thermal motion is included.

Structure:
a = 9.2843 Å, b = 9.2843 Å, c = 7.0216 Å
α = 90.00°, β = 90.00°, γ = 120.00°
Atoms (fractional coordinates):
Rb  0.0760  0.5380  0.0000
Rb  0.1435  0.2870  0.6656
Rb  0.1435  0.8565  0.6656
Rb  0.2870  0.1435  0.1656
Rb  0.4620  0.5380  0.0000
Rb  0.4620  0.9240  0.0000
Rb  0.5380  0.0760  0.5000
Rb  0.5380  0.4620  0.5000
Rb  0.7130  0.8565  0.6656
Rb  0.8565  0.1435  0.1656
Rb  0.8565  0.7130  0.1656
Rb  0.9240  0.4620  0.5000
Cd  0.3333  0.6667  0.3936
Cd  0.6667  0.3333  0.8936
O  0.1967  0.3934  0.2837
O  0.1967  0.8033  0.2837
O  0.3333  0.6667  0.7127
O  0.3934  0.1967  0.7837
O  0.6066  0.8033  0.2837
O  0.6667  0.3333  0.2127
O  0.8033  0.1967  0.7837
O  0.8033  0.6066  0.7837

Most intense lines, 15 to 90 degrees two-theta, sorted by position:
two_theta	d/Å	I (rel.)	index
25.53	3.489	44	2 0 1
27.73	3.217	35	1 0 2
29.39	3.039	18	2 1 0
31.96	2.800	17	1 1 2
32.09	2.789	100	2 1 1
33.90	2.644	44	2 0 2
35.86	2.504	20	3 0 1
38.80	2.321	43	2 2 0
56.34	1.633	22	3 2 2
58.90	1.568	25	5 0 1